Computed powder XRD pattern of KCdGa2Bi for Cu Kα (weighted mean of Kα1 and Kα2), from a DFT-relaxed cell (PBE, Alexandria).
No peak broadening, texture or thermal motion is included.

Main lines, most intense first (15 to 90 degrees two-theta):
29.74°, d = 3.004 Å, rel. 100
40.04°, d = 2.252 Å, rel. 79
19.77°, d = 4.491 Å, rel. 59
19.21°, d = 4.621 Å, rel. 43
35.75°, d = 2.512 Å, rel. 43
28.85°, d = 3.095 Å, rel. 43
37.01°, d = 2.429 Å, rel. 39
15.03°, d = 5.893 Å, rel. 29
52.40°, d = 1.746 Å, rel. 28
29.24°, d = 3.055 Å, rel. 28

Cell and atoms:
a = 6.8512 Å, b = 6.8512 Å, c = 6.8512 Å
α = 138.47°, β = 136.99°, γ = 61.33°
Fractional coordinates of all 5 atoms:
K: 0.0000 0.0000 0.0000
Cd: 0.2616 0.7616 0.5000
Ga: 0.3670 0.3670 0.0000
Ga: 0.7684 0.2684 0.5000
Bi: 0.6107 0.6107 0.0000

---

Computed powder XRD pattern of CaPrTlIn for Cu Kα (weighted mean of Kα1 and Kα2), from a DFT-relaxed cell (PBE, Alexandria).
No peak broadening, texture or thermal motion is included.

Main lines, most intense first (15 to 90 degrees two-theta):
31.78°, d = 2.815 Å, rel. 100
34.96°, d = 2.567 Å, rel. 19
35.13°, d = 2.554 Å, rel. 19
60.72°, d = 1.525 Å, rel. 15
60.94°, d = 1.520 Å, rel. 15
17.36°, d = 5.109 Å, rel. 14
50.40°, d = 1.810 Å, rel. 14
40.29°, d = 2.239 Å, rel. 13
66.41°, d = 1.408 Å, rel. 12
67.94°, d = 1.380 Å, rel. 11

Cell and atoms:
a = 4.4771 Å, b = 5.1087 Å, c = 5.1331 Å
α = 90.00°, β = 90.00°, γ = 90.00°
Fractional coordinates of all 4 atoms:
Ca: 0.0000 0.0000 0.0000
Pr: 0.0000 0.5000 0.5000
Tl: 0.5000 0.5000 0.0000
In: 0.5000 0.0000 0.5000

---

Computed powder XRD pattern of Nd12TmTh5 for Cu Kα (weighted mean of Kα1 and Kα2), from a DFT-relaxed cell (PBE, Alexandria).
No peak broadening, texture or thermal motion is included.

Main lines, most intense first (15 to 90 degrees two-theta):
30.08°, d = 2.971 Å, rel. 100
35.00°, d = 2.563 Å, rel. 34
50.04°, d = 1.823 Å, rel. 24
34.60°, d = 2.593 Å, rel. 17
59.70°, d = 1.549 Å, rel. 16
59.83°, d = 1.546 Å, rel. 14
59.22°, d = 1.560 Å, rel. 14
50.34°, d = 1.813 Å, rel. 12
62.52°, d = 1.486 Å, rel. 12
81.85°, d = 1.177 Å, rel. 6

Cell and atoms:
a = 10.9305 Å, b = 10.9305 Å, c = 5.1338 Å
α = 90.00°, β = 90.00°, γ = 90.73°
Fractional coordinates of all 18 atoms:
Nd: 0.0087 0.3249 0.5000
Nd: 0.1572 0.8428 0.0000
Nd: 0.1745 0.4930 0.0000
Nd: 0.3249 0.0087 0.5000
Nd: 0.3373 0.6627 0.5000
Nd: 0.4930 0.1745 0.0000
Nd: 0.5070 0.8255 0.0000
Nd: 0.6627 0.3373 0.5000
Nd: 0.6751 0.9913 0.5000
Nd: 0.8255 0.5070 0.0000
Nd: 0.8428 0.1572 0.0000
Nd: 0.9913 0.6751 0.5000
Tm: 0.5000 0.5000 0.0000
Th: 0.0000 0.0000 0.5000
Th: 0.1685 0.1685 0.0000
Th: 0.3358 0.3358 0.5000
Th: 0.6642 0.6642 0.5000
Th: 0.8315 0.8315 0.0000